CeHf2B: computed X-ray powder pattern (Cu Kα, 1.54184 Å), based on the PBE geometry in Alexandria.
Intensities are scaled so that the largest is 100.

```
data_CeHf2B
_chemical_formula_sum 'Ce3 Hf6 B3'
_symmetry_space_group_name_H-M 'R -3 m'
_symmetry_Int_Tables_number 166
_symmetry_space_group_name_Hall '-R 3 2"'
_cell_length_a 3.3004
_cell_length_b 3.3004
_cell_length_c 26.9798
_cell_angle_alpha 90.00
_cell_angle_beta 90.00
_cell_angle_gamma 120.00
loop_
_atom_site_label
_atom_site_fract_x
_atom_site_fract_y
_atom_site_fract_z
Ce1 0.0000 0.0000 0.0000
Hf1 0.0000 0.0000 0.1183
B1 0.0000 0.0000 0.5000
```

Main lines, in order of falling intensity (2θ = 10–90°):
2θ 31.48, rel. 100, (1 0 1); 2θ 41.41, rel. 72, (0 1 8); 2θ 29.80, rel. 52, (0 0 9); 2θ 64.45, rel. 35, (1 1 9); 2θ 55.70, rel. 33, (1 1 0); 2θ 39.24, rel. 32, (1 0 7); 2θ 34.07, rel. 21, (1 0 4); 2θ 32.01, rel. 20, (0 1 2); 2θ 46.27, rel. 19, (1 0 10); 2θ 67.51, rel. 17, (0 1 17)

LiDyScAg: computed X-ray powder pattern (Cu Kα, 1.54184 Å), based on the PBE geometry in Alexandria.
Intensities are scaled so that the largest is 100.

```
data_LiDyScAg
_chemical_formula_sum 'Li4 Dy4 Sc4 Ag4'
_symmetry_space_group_name_H-M 'F -4 3 m'
_symmetry_Int_Tables_number 216
_symmetry_space_group_name_Hall 'F -4 2 3'
_cell_length_a 7.088
_cell_length_b 7.088
_cell_length_c 7.088
_cell_angle_alpha 90.00
_cell_angle_beta 90.00
_cell_angle_gamma 90.00
loop_
_atom_site_label
_atom_site_fract_x
_atom_site_fract_y
_atom_site_fract_z
Li1 0.000 0.000 0.000
Dy1 0.250 0.250 0.250
Sc1 0.250 0.250 0.750
Ag1 0.000 0.000 0.500
```

Main lines, in order of falling intensity (2θ = 10–90°):
2θ 35.83, rel. 100, (2 2 0); 2θ 21.72, rel. 56, (1 1 1); 2θ 64.39, rel. 35, (4 2 2); 2θ 42.29, rel. 30, (3 1 1); 2θ 51.57, rel. 17, (4 0 0); 2θ 86.92, rel. 15, (6 2 0); 2θ 56.60, rel. 13, (3 3 1); 2θ 75.94, rel. 11, (4 4 0); 2θ 68.82, rel. 10, (5 1 1); 2θ 80.09, rel. 9, (5 3 1)

ErGa2Br5: computed X-ray powder pattern (Cu Kα, 1.54184 Å), based on the PBE geometry in Alexandria.
Intensities are scaled so that the largest is 100.

```
data_ErGa2Br5
_chemical_formula_sum 'Er4 Ga8 Br20'
_symmetry_space_group_name_H-M 'C 1 c 1'
_symmetry_Int_Tables_number 9
_symmetry_space_group_name_Hall 'C -2yc'
_cell_length_a 15.926
_cell_length_b 7.713
_cell_length_c 10.617
_cell_angle_alpha 90.00
_cell_angle_beta 115.75
_cell_angle_gamma 90.00
loop_
_atom_site_label
_atom_site_fract_x
_atom_site_fract_y
_atom_site_fract_z
Er1 0.000 0.000 0.000
Ga1 0.121 0.471 0.227
Ga2 0.377 0.029 0.772
Br1 0.000 0.140 0.750
Br2 0.076 0.308 0.464
Br3 0.175 0.144 0.149
Br4 0.325 0.356 0.850
Br5 0.424 0.191 0.534
```

Main lines, in order of falling intensity (2θ = 10–90°):
2θ 33.31, rel. 100, (5 1 0); 2θ 12.34, rel. 88, (2 0 0); 2θ 17.25, rel. 61, (2 0 -2); 2θ 41.64, rel. 57, (1 3 2); 2θ 25.97, rel. 55, (2 2 -1); 2θ 26.82, rel. 53, (3 1 1); 2θ 35.86, rel. 50, (3 1 -4); 2θ 20.39, rel. 44, (1 1 -2); 2θ 28.38, rel. 41, (1 1 -3); 2θ 38.94, rel. 37, (5 1 -4)

Pm4Mg2C: computed X-ray powder pattern (Cu Kα, 1.54184 Å), based on the PBE geometry in Alexandria.
Intensities are scaled so that the largest is 100.

```
data_Pm4Mg2C
_chemical_formula_sum 'Pm8 Mg4 C2'
_symmetry_space_group_name_H-M 'I 4/m m m'
_symmetry_Int_Tables_number 139
_symmetry_space_group_name_Hall '-I 4 2'
_cell_length_a 5.157
_cell_length_b 5.157
_cell_length_c 15.729
_cell_angle_alpha 90.00
_cell_angle_beta 90.00
_cell_angle_gamma 90.00
loop_
_atom_site_label
_atom_site_fract_x
_atom_site_fract_y
_atom_site_fract_z
Pm1 0.000 0.000 0.157
Pm2 0.000 0.500 0.000
Mg1 0.000 0.000 0.367
C1 0.000 0.000 0.000
```

Main lines, in order of falling intensity (2θ = 10–90°):
2θ 33.52, rel. 100, (1 1 4); 2θ 26.95, rel. 98, (1 1 2); 2θ 34.79, rel. 66, (2 0 0); 2θ 24.21, rel. 43, (1 0 3); 2θ 11.25, rel. 40, (0 0 2); 2θ 49.59, rel. 40, (2 0 6); 2θ 61.56, rel. 35, (3 1 4); 2θ 18.10, rel. 31, (1 0 1); 2θ 34.20, rel. 29, (0 0 6); 2θ 57.74, rel. 24, (3 1 2)

AcAl3Ag: computed X-ray powder pattern (Cu Kα, 1.54184 Å), based on the PBE geometry in Alexandria.
Intensities are scaled so that the largest is 100.

```
data_AcAl3Ag
_chemical_formula_sum 'Ac2 Al6 Ag2'
_symmetry_space_group_name_H-M 'P 63/m m c'
_symmetry_Int_Tables_number 194
_symmetry_space_group_name_Hall '-P 6c 2c'
_cell_length_a 6.5949
_cell_length_b 6.5949
_cell_length_c 6.0233
_cell_angle_alpha 90.00
_cell_angle_beta 90.00
_cell_angle_gamma 120.00
loop_
_atom_site_label
_atom_site_fract_x
_atom_site_fract_y
_atom_site_fract_z
Ac1 0.3333 0.6667 0.2500
Al1 0.1959 0.3918 0.7500
Ag1 0.0000 0.0000 0.0000
```

Main lines, in order of falling intensity (2θ = 10–90°):
2θ 27.04, rel. 100, (1 1 0); 2θ 21.44, rel. 84, (1 0 1); 2θ 34.77, rel. 67, (2 0 1); 2θ 33.64, rel. 59, (1 0 2); 2θ 44.59, rel. 38, (2 1 1); 2θ 43.68, rel. 38, (2 0 2); 2θ 52.13, rel. 22, (2 1 2); 2θ 55.76, rel. 20, (2 2 0); 2θ 47.77, rel. 20, (3 0 0); 2θ 55.99, rel. 17, (2 0 3)

Ac9Ni2Pt4: computed X-ray powder pattern (Cu Kα, 1.54184 Å), based on the PBE geometry in Alexandria.
Intensities are scaled so that the largest is 100.

```
data_Ac9Ni2Pt4
_chemical_formula_sum 'Ac36 Ni8 Pt16'
_symmetry_space_group_name_H-M 'C 1 2/c 1'
_symmetry_Int_Tables_number 15
_symmetry_space_group_name_Hall '-C 2yc'
_cell_length_a 13.136
_cell_length_b 7.584
_cell_length_c 21.052
_cell_angle_alpha 90.00
_cell_angle_beta 90.00
_cell_angle_gamma 90.00
loop_
_atom_site_label
_atom_site_fract_x
_atom_site_fract_y
_atom_site_fract_z
Ac1 0.000 0.188 0.250
Ac2 0.007 0.164 0.916
Ac3 0.156 0.344 0.750
Ac4 0.164 0.321 0.416
Ac5 0.171 0.343 0.084
Ni1 0.000 0.500 0.162
Pt1 0.167 0.000 0.007
Pt2 0.167 0.000 0.326
```

Main lines, in order of falling intensity (2θ = 10–90°):
2θ 26.72, rel. 100, (0 2 3); 2θ 34.84, rel. 60, (3 1 6); 2θ 41.23, rel. 44, (6 0 0); 2θ 45.57, rel. 24, (3 1 9); 2θ 68.54, rel. 19, (6 0 12); 2θ 49.82, rel. 18, (6 2 3); 2θ 55.05, rel. 16, (0 4 6); 2θ 15.90, rel. 15, (1 1 2); 2θ 71.05, rel. 14, (6 4 6); 2θ 66.59, rel. 14, (3 5 3)

Ac2PrIrPt: computed X-ray powder pattern (Cu Kα, 1.54184 Å), based on the PBE geometry in Alexandria.
Intensities are scaled so that the largest is 100.

```
data_Ac2PrIrPt
_chemical_formula_sum 'Ac4 Pr2 Ir2 Pt2'
_symmetry_space_group_name_H-M 'P 4/n m m'
_symmetry_Int_Tables_number 129
_cell_length_a 4.432
_cell_length_b 4.432
_cell_length_c 15.243
_cell_angle_alpha 90.00
_cell_angle_beta 90.00
_cell_angle_gamma 90.00
loop_
_symmetry_equiv_pos_as_xyz
'x,y,z'
'-x,-y,-z'
'-y+1/2,x,z'
'y+1/2,-x,-z'
'-x+1/2,-y+1/2,z'
'x+1/2,y+1/2,-z'
'y,-x+1/2,z'
'-y,x+1/2,-z'
'x+1/2,-y,-z'
'-x+1/2,y,z'
'-y,-x,-z'
'y,x,z'
'-x,y+1/2,-z'
'x,-y+1/2,z'
'y+1/2,x+1/2,-z'
'-y+1/2,-x+1/2,z'
loop_
_atom_site_label
_atom_site_fract_x
_atom_site_fract_y
_atom_site_fract_z
Ac1 0.250 0.250 0.099
Ac2 0.250 0.250 0.713
Pr1 0.250 0.750 0.500
Ir1 0.250 0.250 0.896
Pt1 0.250 0.250 0.351
```

Main lines, in order of falling intensity (2θ = 10–90°):
2θ 28.48, rel. 100, (1 1 0); 2θ 40.71, rel. 79, (2 0 0); 2θ 29.30, rel. 56, (0 0 5); 2θ 37.14, rel. 56, (1 1 4); 2θ 50.94, rel. 50, (2 0 5); 2θ 29.09, rel. 39, (1 1 1); 2θ 26.69, rel. 36, (1 0 3); 2θ 41.31, rel. 35, (1 1 5); 2θ 33.60, rel. 31, (1 1 3); 2θ 30.85, rel. 27, (1 1 2)

Ac2Cu2Rh3: computed X-ray powder pattern (Cu Kα, 1.54184 Å), based on the PBE geometry in Alexandria.
Intensities are scaled so that the largest is 100.

```
data_Ac2Cu2Rh3
_chemical_formula_sum 'Ac4 Cu4 Rh6'
_symmetry_space_group_name_H-M 'C 1 2/m 1'
_symmetry_Int_Tables_number 12
_symmetry_space_group_name_Hall '-C 2y'
_cell_length_a 10.743
_cell_length_b 4.094
_cell_length_c 6.980
_cell_angle_alpha 90.00
_cell_angle_beta 111.25
_cell_angle_gamma 90.00
loop_
_atom_site_label
_atom_site_fract_x
_atom_site_fract_y
_atom_site_fract_z
Ac1 0.126 0.000 0.256
Cu1 0.140 0.000 0.710
Rh1 0.000 0.500 0.500
Rh2 0.152 0.500 0.940
```

Main lines, in order of falling intensity (2θ = 10–90°):
2θ 38.86, rel. 100, (1 1 2); 2θ 33.49, rel. 71, (3 1 -1); 2θ 44.25, rel. 39, (0 2 0); 2θ 37.87, rel. 38, (3 1 -2); 2θ 33.76, rel. 37, (1 1 -2); 2θ 35.87, rel. 33, (4 0 0); 2θ 26.10, rel. 29, (2 0 1); 2θ 36.51, rel. 29, (4 0 -2); 2θ 28.85, rel. 29, (1 1 1); 2θ 25.53, rel. 21, (1 1 -1)

Ac5In3: computed X-ray powder pattern (Cu Kα, 1.54184 Å), based on the PBE geometry in Alexandria.
Intensities are scaled so that the largest is 100.

```
data_Ac5In3
_chemical_formula_sum 'Ac10 In6'
_symmetry_space_group_name_H-M 'P 63/m c m'
_symmetry_Int_Tables_number 193
_symmetry_space_group_name_Hall '-P 6c 2'
_cell_length_a 9.8627
_cell_length_b 9.8627
_cell_length_c 7.3723
_cell_angle_alpha 90.00
_cell_angle_beta 90.00
_cell_angle_gamma 120.00
loop_
_atom_site_label
_atom_site_fract_x
_atom_site_fract_y
_atom_site_fract_z
Ac1 0.0000 0.2422 0.2500
Ac2 0.3333 0.6667 0.0000
In1 0.0000 0.4009 0.7500
```

Main lines, in order of falling intensity (2θ = 10–90°):
2θ 30.24, rel. 100, (1 1 2); 2θ 27.63, rel. 21, (2 1 0); 2θ 31.42, rel. 20, (3 0 0); 2θ 46.44, rel. 17, (2 1 3); 2θ 26.33, rel. 15, (1 0 2); 2θ 49.32, rel. 12, (4 0 2); 2θ 44.19, rel. 12, (2 2 2); 2θ 59.66, rel. 9, (5 0 2); 2θ 48.86, rel. 8, (4 1 0); 2θ 61.79, rel. 8, (3 3 2)

KSrYCl6: computed X-ray powder pattern (Cu Kα, 1.54184 Å), based on the PBE geometry in Alexandria.
Intensities are scaled so that the largest is 100.

```
data_KSrYCl6
_chemical_formula_sum 'K2 Sr2 Y2 Cl12'
_symmetry_space_group_name_H-M 'P -3 1 c'
_symmetry_Int_Tables_number 163
_symmetry_space_group_name_Hall '-P 3 2c'
_cell_length_a 7.3550
_cell_length_b 7.3550
_cell_length_c 13.2558
_cell_angle_alpha 90.00
_cell_angle_beta 90.00
_cell_angle_gamma 120.00
loop_
_atom_site_label
_atom_site_fract_x
_atom_site_fract_y
_atom_site_fract_z
K1 0.0000 0.0000 0.0000
Sr1 0.3333 0.6667 0.2500
Y1 0.3333 0.6667 0.7500
Cl1 0.0257 0.3777 0.6363
```

Main lines, in order of falling intensity (2θ = 10–90°):
2θ 36.50, rel. 100, (1 1 4); 2θ 27.74, rel. 97, (1 1 2); 2θ 19.33, rel. 93, (1 0 2); 2θ 13.36, rel. 56, (0 0 2); 2θ 42.58, rel. 48, (3 0 0); 2θ 39.84, rel. 30, (2 1 2); 2θ 13.90, rel. 28, (1 0 0); 2θ 48.04, rel. 24, (2 -1 6); 2θ 31.16, rel. 23, (2 0 2); 2θ 57.30, rel. 22, (4 -2 4)

NdPu2Se4: computed X-ray powder pattern (Cu Kα, 1.54184 Å), based on the PBE geometry in Alexandria.
Intensities are scaled so that the largest is 100.

```
data_NdPu2Se4
_chemical_formula_sum 'Nd4 Pu8 Se16'
_symmetry_space_group_name_H-M 'C m c m'
_symmetry_Int_Tables_number 63
_symmetry_space_group_name_Hall '-C 2c 2'
_cell_length_a 4.090
_cell_length_b 13.646
_cell_length_c 13.938
_cell_angle_alpha 90.00
_cell_angle_beta 90.00
_cell_angle_gamma 90.00
loop_
_atom_site_label
_atom_site_fract_x
_atom_site_fract_y
_atom_site_fract_z
Nd1 0.000 0.119 0.250
Pu1 0.000 0.367 0.066
Se1 0.000 0.000 0.000
Se2 0.000 0.274 0.624
Se3 0.000 0.463 0.250
```

Main lines, in order of falling intensity (2θ = 10–90°):
2θ 23.16, rel. 100, (0 2 3); 2θ 32.11, rel. 79, (1 3 2); 2θ 44.32, rel. 68, (2 0 0); 2θ 30.08, rel. 57, (1 3 1); 2θ 39.68, rel. 53, (1 1 5); 2θ 26.11, rel. 30, (0 4 0); 2θ 29.37, rel. 30, (1 3 0); 2θ 44.42, rel. 29, (1 5 3); 2θ 41.84, rel. 29, (1 5 2); 2θ 50.57, rel. 26, (2 2 3)

TiPd4Pt2: computed X-ray powder pattern (Cu Kα, 1.54184 Å), based on the PBE geometry in Alexandria.
Intensities are scaled so that the largest is 100.

```
data_TiPd4Pt2
_chemical_formula_sum 'Ti8 Pd32 Pt16'
_symmetry_space_group_name_H-M 'F d d 2'
_symmetry_Int_Tables_number 43
_symmetry_space_group_name_Hall 'F 2 -2d'
_cell_length_a 7.797
_cell_length_b 17.136
_cell_length_c 6.655
_cell_angle_alpha 90.00
_cell_angle_beta 90.00
_cell_angle_gamma 90.00
loop_
_atom_site_label
_atom_site_fract_x
_atom_site_fract_y
_atom_site_fract_z
Ti1 0.000 0.000 0.000
Pd1 0.028 0.419 0.160
Pd2 0.051 0.124 0.252
Pt1 0.051 0.236 0.594
```

Main lines, in order of falling intensity (2θ = 10–90°):
2θ 40.47, rel. 100, (3 3 1); 2θ 40.95, rel. 95, (1 7 1); 2θ 41.44, rel. 88, (2 4 2); 2θ 35.47, rel. 88, (2 0 2); 2θ 41.68, rel. 63, (0 6 2); 2θ 28.78, rel. 54, (0 2 2); 2θ 39.10, rel. 54, (2 6 0); 2θ 42.71, rel. 47, (1 1 3); 2θ 37.52, rel. 30, (3 1 1); 2θ 63.39, rel. 27, (5 3 1)

ZrZn11Cu: computed X-ray powder pattern (Cu Kα, 1.54184 Å), based on the PBE geometry in Alexandria.
Intensities are scaled so that the largest is 100.

```
data_ZrZn11Cu
_chemical_formula_sum 'Zr2 Zn22 Cu2'
_symmetry_space_group_name_H-M 'C 1 2/m 1'
_symmetry_Int_Tables_number 12
_symmetry_space_group_name_Hall '-C 2y'
_cell_length_a 5.172
_cell_length_b 12.290
_cell_length_c 6.657
_cell_angle_alpha 90.00
_cell_angle_beta 112.76
_cell_angle_gamma 90.00
loop_
_atom_site_label
_atom_site_fract_x
_atom_site_fract_y
_atom_site_fract_z
Zr1 0.000 0.000 0.000
Zn1 0.000 0.000 0.500
Zn2 0.103 0.394 0.215
Zn3 0.185 0.173 0.353
Zn4 0.250 0.250 0.000
Cu1 0.000 0.500 0.500
```

Main lines, in order of falling intensity (2θ = 10–90°):
2θ 41.34, rel. 100, (1 1 2); 2θ 40.60, rel. 78, (2 2 0); 2θ 45.88, rel. 65, (2 0 -3); 2θ 41.59, rel. 60, (0 4 2); 2θ 35.53, rel. 48, (1 3 -2); 2θ 46.77, rel. 33, (0 6 1); 2θ 75.22, rel. 27, (2 6 -4); 2θ 46.55, rel. 22, (1 3 2); 2θ 34.69, rel. 18, (2 0 -1); 2θ 66.70, rel. 17, (3 1 1)